# 1
# TlH6Pt3
Computed PXRD pattern, a wavelength of 1.5418 Å. Input: a crystal structure in Alexandria, relaxed with PBE.
Kinematic intensities with the Lorentz-polarization factor, no thermal factor.

The 6 most intense peaks (2θ from 10° to 80°), sorted by position:
- 28.2°, rel. 100.0, (1 -2 1)
- 29.0°, rel. 53.3, (1 1 -2)
- 33.8°, rel. 56.4, (2 -1 0)
- 37.7°, rel. 44.4, (0 1 2)
- 38.5°, rel. 60.0, (1 1 -3)
- 41.7°, rel. 62.9, (2 1 -1)

Crystal structure
Lattice parameters (Å, degrees): 5.4724 7.0104 7.1960 108.88 104.18 108.40
Positions (direct):
1 Tl 0.0000 0.0000 0.0000
2 Tl 0.4086 0.4371 0.4876
3 H 0.0512 0.7682 0.4125
4 H 0.0668 0.0694 0.6159
5 H 0.0725 0.5051 0.9045
6 H 0.3878 0.9936 0.2708
7 H 0.4211 0.7835 0.8018
8 H 0.5661 0.0284 0.6480
9 H 0.5672 0.5937 0.9679
10 H 0.6151 0.2957 0.0895
11 H 0.6262 0.8201 0.3033
12 H 0.8093 0.1955 0.3009
13 H 0.9603 0.5434 0.1383
14 H 0.9954 0.6392 0.6227
15 Pt 0.2415 0.3424 0.8172
16 Pt 0.2447 0.9126 0.6943
17 Pt 0.4902 0.8120 0.0667
18 Pt 0.6937 0.1325 0.4814
19 Pt 0.7528 0.3125 0.9012
20 Pt 0.8828 0.4877 0.3495

---

# 2
# Zn2Cd3Ag3
Computed PXRD pattern, a wavelength of 1.5418 Å. Input: a crystal structure in Alexandria, relaxed with PBE.
Kinematic intensities with the Lorentz-polarization factor, no thermal factor.

The 6 most intense peaks (2θ from 10° to 80°), sorted by position:
- 36.1°, rel. 78.6, (2 1 0)
- 38.5°, rel. 100.0, (1 1 1)
- 40.9°, rel. 35.0, (2 0 1)
- 41.1°, rel. 35.0, (3 0 0)
- 69.9°, rel. 20.4, (3 2 1)
- 74.5°, rel. 17.4, (2 1 2)

Crystal structure
Lattice parameters (Å, degrees): 7.6068 7.6068 2.9655 90.00 90.00 120.00
Positions (direct):
1 Zn 0.3333 0.6667 0.0000
2 Zn 0.6667 0.3333 0.0000
3 Cd 0.0000 0.2473 0.0000
4 Cd 0.2473 0.0000 0.0000
5 Cd 0.7527 0.7527 0.0000
6 Ag 0.0000 0.6123 0.5000
7 Ag 0.3877 0.3877 0.5000
8 Ag 0.6123 0.0000 0.5000

---

# 3
# SmGd2In
Computed PXRD pattern, a wavelength of 1.5418 Å. Input: a crystal structure in Alexandria, relaxed with PBE.
Kinematic intensities with the Lorentz-polarization factor, no thermal factor.

The 6 most intense peaks (2θ from 10° to 80°), sorted by position:
- 31.3°, rel. 100.0, (1 0 2)
- 35.1°, rel. 38.7, (1 1 0)
- 50.5°, rel. 13.7, (2 0 0)
- 53.2°, rel. 19.2, (1 1 4)
- 60.7°, rel. 30.1, (2 1 2)
- 65.4°, rel. 18.2, (2 0 4)

Crystal structure
Lattice parameters (Å, degrees): 3.6123 3.6123 9.3202 90.00 90.00 90.00
Positions (direct):
1 Sm 0.0000 0.0000 0.0000
2 Gd 0.5000 0.5000 0.2742
3 Gd 0.5000 0.5000 0.7258
4 In 0.0000 0.0000 0.5000

---

# 4
# MnGePCN
Computed PXRD pattern, a wavelength of 1.5418 Å. Input: a crystal structure in Alexandria, relaxed with PBE.
Kinematic intensities with the Lorentz-polarization factor, no thermal factor.

The 6 most intense peaks (2θ from 10° to 80°), sorted by position:
- 20.3°, rel. 67.6, (1 0 0)
- 20.5°, rel. 43.3, (1 0 -1)
- 35.7°, rel. 100.0, (0 1 1)
- 37.2°, rel. 53.7, (2 0 -1)
- 45.3°, rel. 35.6, (1 1 1)
- 45.7°, rel. 29.8, (1 1 -2)

Crystal structure
Lattice parameters (Å, degrees): 4.8405 2.9200 5.4809 90.00 115.41 90.00
Positions (direct):
1 Mn 0.0000 0.0000 0.0000
2 Ge 0.8310 0.5000 0.5912
3 P 0.1966 0.5000 0.3555
4 C 0.3705 0.0000 0.9843
5 N 0.6164 0.0000 0.9854